(1)
This entry pairs a crystal structure of BaBiSb2Te with its theoretical PXRD pattern. Radiation: Cu Kα (λ = 1.5418 Å). Structure: DFT lattice parameters and positions (GGA-PBE).

Atomic structure:
```
BaBiSb2Te
1.0
5.8211 0.0000 0.0000
0.0000 5.8211 0.0000
0.0000 0.0000 6.1043
Ba Bi Sb Te
1 1 2 1
direct
0.0000 0.0000 0.0000 Ba
0.5000 0.5000 0.5000 Bi
0.0000 0.5000 0.5000 Sb
0.5000 0.0000 0.5000 Sb
0.5000 0.5000 0.0000 Te
```

Principal peaks in the range 10° ≤ 2θ ≤ 80°, sorted by position:
| 2θ (°) | d [Å] | intensity |
| --- | --- | --- |
| 21.09 | 4.213 | 456 |
| 26.11 | 3.413 | 530 |
| 29.26 | 3.052 | 567 |
| 30.72 | 2.911 | 1000 |
| 42.94 | 2.106 | 800 |
| 53.72 | 1.706 | 414 |

***

(2)
This entry pairs a crystal structure of BaSc2Bi2Se with its theoretical PXRD pattern. Radiation: Cu Kα (λ = 1.5418 Å). Structure: DFT lattice parameters and positions (GGA-PBE).

Atomic structure:
```
BaSc2Bi2Se
1.0
5.0954 0.0000 0.0000
0.0000 5.0954 0.0000
0.0000 0.0000 7.2041
Ba Sc Bi Se
1 2 2 1
direct
0.0000 0.0000 0.0000 Ba
0.0000 0.5000 0.5000 Sc
0.5000 0.0000 0.5000 Sc
0.5000 0.5000 0.2351 Bi
0.5000 0.5000 0.7649 Bi
0.0000 0.0000 0.5000 Se
```

Principal peaks in the range 10° ≤ 2θ ≤ 80°, sorted by position:
| 2θ (°) | d [Å] | intensity |
| --- | --- | --- |
| 24.71 | 3.603 | 632 |
| 30.39 | 2.941 | 1000 |
| 35.23 | 2.548 | 599 |
| 47.20 | 1.926 | 601 |
| 50.68 | 1.801 | 235 |
| 57.17 | 1.611 | 257 |

***

(3)
This entry pairs a crystal structure of BaBi2Se2 with its theoretical PXRD pattern. Radiation: Cu Kα (λ = 1.5418 Å). Structure: DFT lattice parameters and positions (GGA-PBE).

Atomic structure:
```
BaBi2Se2
1.0
-2.2454 2.2454 8.2260
2.2454 -2.2454 8.2260
2.2454 2.2454 -8.2260
Ba Bi Se
1 2 2
direct
0.0000 0.0000 0.0000 Ba
0.2500 0.7500 0.5000 Bi
0.7500 0.2500 0.5000 Bi
0.4201 0.4201 0.0000 Se
0.5799 0.5799 0.0000 Se
```

Principal peaks in the range 10° ≤ 2θ ≤ 80°, sorted by position:
| 2θ (°) | d [Å] | intensity |
| --- | --- | --- |
| 10.75 | 8.226 | 227 |
| 21.61 | 4.113 | 321 |
| 30.17 | 2.962 | 1000 |
| 35.72 | 2.514 | 198 |
| 40.16 | 2.245 | 290 |
| 66.86 | 1.399 | 212 |

***

(4)
This entry pairs a crystal structure of Ba6Bi13Se26 with its theoretical PXRD pattern. Radiation: Cu Kα (λ = 1.5418 Å). Structure: DFT lattice parameters and positions (GGA-PBE).

Atomic structure:
```
Ba6Bi13Se26
1.0
17.5176 0.0000 0.0000
0.0000 4.3046 0.0000
-0.1847 0.0000 18.8139
Ba Bi Se
6 13 26
direct
0.0000 0.0000 0.0000 Ba
0.0092 0.5000 0.5556 Ba
0.5042 0.0000 0.0879 Ba
0.5285 0.5000 0.6459 Ba
0.7448 0.5000 0.4780 Ba
0.7767 0.0000 0.1621 Ba
0.0936 0.5000 0.1896 Bi
0.1636 0.0000 0.8002 Bi
0.1807 0.0000 0.3878 Bi
0.2725 0.5000 0.5683 Bi
0.3401 0.5000 0.2334 Bi
0.3602 0.5000 0.8425 Bi
0.4324 0.0000 0.4338 Bi
0.5691 0.0000 0.8647 Bi
0.5877 0.5000 0.2957 Bi
0.7522 0.0000 0.7084 Bi
0.7707 0.5000 0.9367 Bi
0.9362 0.0000 0.3423 Bi
0.9523 0.5000 0.7760 Bi
0.0266 0.0000 0.6958 Se
0.0668 0.5000 0.3786 Se
0.0756 0.5000 0.8771 Se
0.1302 0.5000 0.0540 Se
0.1602 0.0000 0.5439 Se
0.2201 0.0000 0.2359 Se
0.2437 0.5000 0.7256 Se
0.2786 0.0000 0.9112 Se
0.3003 0.5000 0.4144 Se
0.3633 0.5000 0.0966 Se
0.3909 0.0000 0.5801 Se
0.4525 0.0000 0.7615 Se
0.4581 0.0000 0.2706 Se
0.4915 0.5000 0.9437 Se
0.5355 0.5000 0.4597 Se
0.6327 0.5000 0.1557 Se
0.6570 0.5000 0.7878 Se
0.6579 0.0000 0.5896 Se
0.6816 0.0000 0.9935 Se
0.6884 0.0000 0.3350 Se
0.8358 0.5000 0.3070 Se
0.8404 0.5000 0.6506 Se
0.8659 0.5000 0.0536 Se
0.8666 0.0000 0.8547 Se
0.8891 0.0000 0.4844 Se
0.9850 0.0000 0.1839 Se
```

Principal peaks in the range 10° ≤ 2θ ≤ 80°, sorted by position:
| 2θ (°) | d [Å] | intensity |
| --- | --- | --- |
| 24.15 | 3.686 | 506 |
| 27.38 | 3.257 | 409 |
| 29.09 | 3.070 | 441 |
| 29.38 | 3.040 | 652 |
| 29.52 | 3.026 | 1000 |
| 41.98 | 2.152 | 650 |

***

(5)
This entry pairs a crystal structure of Ba2BiSe4 with its theoretical PXRD pattern. Radiation: Cu Kα (λ = 1.5418 Å). Structure: DFT lattice parameters and positions (GGA-PBE).

Atomic structure:
```
Ba2BiSe4
1.0
8.3056 0.0000 0.0000
0.0000 12.5229 0.0000
0.0000 0.0000 4.5889
Ba Bi Se
4 2 8
direct
0.0923 0.1799 0.0000 Ba
0.4077 0.6799 0.0000 Ba
0.5923 0.3201 0.0000 Ba
0.9077 0.8201 0.0000 Ba
0.0000 0.5000 0.5000 Bi
0.5000 0.0000 0.5000 Bi
0.1331 0.7106 0.5000 Se
0.2179 0.4407 0.0000 Se
0.2821 0.9407 0.0000 Se
0.3669 0.2106 0.5000 Se
0.6331 0.7894 0.5000 Se
0.7179 0.0593 0.0000 Se
0.7821 0.5593 0.0000 Se
0.8669 0.2894 0.5000 Se
```

Principal peaks in the range 10° ≤ 2θ ≤ 80°, sorted by position:
| 2θ (°) | d [Å] | intensity |
| --- | --- | --- |
| 12.79 | 6.922 | 610 |
| 23.26 | 3.825 | 1000 |
| 23.86 | 3.730 | 699 |
| 29.88 | 2.990 | 965 |
| 32.40 | 2.763 | 779 |
| 42.54 | 2.125 | 577 |

***

(6)
This entry pairs a crystal structure of BaSn2BiSe4 with its theoretical PXRD pattern. Radiation: Cu Kα (λ = 1.5418 Å). Structure: DFT lattice parameters and positions (GGA-PBE).

Atomic structure:
```
BaSn2BiSe4
1.0
-3.1476 3.1476 6.1980
3.1476 -3.1476 6.1980
3.1476 3.1476 -6.1980
Ba Sn Bi Se
1 2 1 4
direct
0.0000 0.0000 0.0000 Ba
0.5000 0.5000 0.0000 Sn
0.7500 0.2500 0.5000 Sn
0.2500 0.7500 0.5000 Bi
0.0039 0.5039 0.5000 Se
0.2609 0.2609 0.0000 Se
0.4961 0.9961 0.5000 Se
0.7391 0.7391 0.0000 Se
```

Principal peaks in the range 10° ≤ 2θ ≤ 80°, sorted by position:
| 2θ (°) | d [Å] | intensity |
| --- | --- | --- |
| 28.35 | 3.148 | 1000 |
| 28.81 | 3.099 | 473 |
| 40.53 | 2.226 | 384 |
| 40.86 | 2.208 | 740 |
| 50.48 | 1.808 | 402 |
| 73.96 | 1.282 | 265 |